1.
Structure and theoretical PXRD pattern of SmDy3Te6 (a cell relaxed with GGA-PBE; λ = 1.5418 Å (Cu Kα)).

Structural model:
Lattice parameters (Å, degrees): 8.346 8.346 8.346 55.21 55.21 55.21
Positions (direct):
Sm1 0.000 0.000 0.000
Dy1 0.312 0.312 0.312
Dy2 0.499 0.499 0.499
Dy3 0.813 0.813 0.813
Te1 0.091 0.413 0.712
Te2 0.218 0.907 0.587
Te3 0.413 0.712 0.091
Te4 0.587 0.218 0.907
Te5 0.712 0.091 0.413
Te6 0.907 0.587 0.218

Most intense lines, 10 to 90 degrees two-theta, by angle:
d [Å]  I/Imax
5.659  35
4.151  27
3.391  90
2.605  100
2.233  63
2.008  21
1.695  27
1.350  23

2.
Structure and theoretical PXRD pattern of Mg7Tl2GaPb2 (a cell relaxed with GGA-PBE; λ = 1.5418 Å (Cu Kα)).

Structural model:
Lattice parameters (Å, degrees): 4.388 4.388 16.000 97.57 97.57 90.06
Positions (direct):
Mg1 0.000 0.000 0.000
Mg2 0.064 0.565 0.134
Mg3 0.227 0.227 0.456
Mg4 0.435 0.936 0.866
Mg5 0.565 0.064 0.134
Mg6 0.773 0.773 0.544
Mg7 0.936 0.435 0.866
Tl1 0.132 0.132 0.269
Tl2 0.868 0.868 0.731
Ga1 0.500 0.500 0.000
Pb1 0.330 0.330 0.652
Pb2 0.670 0.670 0.348

Most intense lines, 10 to 90 degrees two-theta, by angle:
d [Å]  I/Imax
7.860  87
5.240  61
3.589  46
3.103  100
2.673  64
2.401  48
2.389  49
2.194  60

3.
Structure and theoretical PXRD pattern of Tl3Cd9Ag2 (a cell relaxed with GGA-PBE; λ = 1.5418 Å (Cu Kα)).

Structural model:
Lattice parameters (Å, degrees): 8.703 8.703 8.703 147.00 100.51 88.79
Positions (direct):
Tl1 0.000 0.000 0.000
Tl2 0.281 0.281 0.000
Tl3 0.719 0.719 0.000
Cd1 0.004 0.369 0.634
Cd2 0.144 0.861 0.283
Cd3 0.265 0.631 0.634
Cd4 0.422 0.139 0.283
Cd5 0.500 0.000 0.500
Cd6 0.578 0.861 0.717
Cd7 0.735 0.369 0.366
Cd8 0.856 0.139 0.717
Cd9 0.996 0.631 0.366
Ag1 0.356 0.500 0.856
Ag2 0.644 0.500 0.144

Most intense lines, 10 to 90 degrees two-theta, by angle:
d [Å]  I/Imax
2.967  52
2.760  100
2.714  48
2.561  67
2.472  64
2.380  59
1.828  30
1.433  33

4.
Structure and theoretical PXRD pattern of Nb2SnSe2S4 (a cell relaxed with GGA-PBE; λ = 1.5418 Å (Cu Kα)).

Structural model:
Lattice parameters (Å, degrees): 3.477 3.477 20.816 90.00 90.00 120.00
Positions (direct):
Nb1 0.000 0.000 0.000
Nb2 0.333 0.667 0.321
Sn1 0.333 0.667 0.675
Se1 0.000 0.000 0.587
Se2 0.000 0.000 0.763
S1 0.000 0.000 0.248
S2 0.000 0.000 0.395
S3 0.333 0.667 0.073
S4 0.333 0.667 0.926

Most intense lines, 10 to 90 degrees two-theta, by angle:
d [Å]  I/Imax
6.939  100
3.011  37
2.762  24
2.606  21
2.440  67
2.274  17
1.969  31
1.738  27

5.
Structure and theoretical PXRD pattern of Ag5Pb3 (a cell relaxed with GGA-PBE; λ = 1.5418 Å (Cu Kα)).

Structural model:
Lattice parameters (Å, degrees): 8.774 9.192 4.462 90.00 90.00 90.00
Positions (direct):
Ag1 0.000 0.000 0.000
Ag2 0.248 0.500 0.500
Ag3 0.250 0.250 0.000
Ag4 0.250 0.750 0.000
Ag5 0.252 0.000 0.500
Ag6 0.500 0.500 0.000
Ag7 0.748 0.000 0.500
Ag8 0.750 0.250 0.000
Ag9 0.750 0.750 0.000
Ag10 0.752 0.500 0.500
Pb1 0.000 0.229 0.500
Pb2 0.000 0.500 0.000
Pb3 0.000 0.771 0.500
Pb4 0.500 0.000 0.000
Pb5 0.500 0.271 0.500
Pb6 0.500 0.729 0.500

Most intense lines, 10 to 90 degrees two-theta, by angle:
d [Å]  I/Imax
2.586  100
2.298  17
2.231  17
2.194  16
1.564  11
1.376  11
1.347  13
1.330  12

6.
Structure and theoretical PXRD pattern of Ba3Zn2Sn7 (a cell relaxed with GGA-PBE; λ = 1.5418 Å (Cu Kα)).

Structural model:
Lattice parameters (Å, degrees): 4.850 4.989 15.217 90.00 99.01 90.00
Positions (direct):
Ba1 0.000 0.000 0.000
Ba2 0.318 0.500 0.635
Ba3 0.682 0.500 0.365
Zn1 0.132 0.000 0.267
Zn2 0.868 0.000 0.733
Sn1 0.084 0.500 0.172
Sn2 0.224 0.000 0.447
Sn3 0.414 0.000 0.828
Sn4 0.500 0.500 0.000
Sn5 0.586 0.000 0.172
Sn6 0.776 0.000 0.553
Sn7 0.916 0.500 0.828

Most intense lines, 10 to 90 degrees two-theta, by angle:
d [Å]  I/Imax
3.010  100
2.702  16
2.494  25
2.425  23
2.381  9
1.739  20
1.522  14
1.490  12

7.
Structure and theoretical PXRD pattern of GaCoI4 (a cell relaxed with GGA-PBE; λ = 1.5418 Å (Cu Kα)).

Structural model:
Lattice parameters (Å, degrees): 7.864 7.864 9.891 90.00 90.00 90.00
Positions (direct):
Ga1 0.000 0.500 0.000
Ga2 0.500 0.000 0.500
Co1 0.000 0.000 0.000
Co2 0.000 0.000 0.500
I1 0.233 0.235 0.500
I2 0.233 0.765 0.500
I3 0.235 0.233 0.000
I4 0.235 0.767 0.000
I5 0.765 0.233 0.000
I6 0.765 0.767 0.000
I7 0.767 0.235 0.500
I8 0.767 0.765 0.500

Most intense lines, 10 to 90 degrees two-theta, by angle:
d [Å]  I/Imax
7.864  18
4.945  100
3.932  36
3.078  38
2.780  43
2.424  59
1.848  26
1.827  23

8.
Structure and theoretical PXRD pattern of VMoS2 (a cell relaxed with GGA-PBE; λ = 1.5418 Å (Cu Kα)).

Structural model:
Lattice parameters (Å, degrees): 5.978 5.978 5.978 90.00 90.00 90.00
Positions (direct):
V1 0.000 0.000 0.000
V2 0.000 0.500 0.500
V3 0.500 0.000 0.500
V4 0.500 0.500 0.000
Mo1 0.000 0.000 0.500
Mo2 0.000 0.500 0.000
Mo3 0.500 0.000 0.000
Mo4 0.500 0.500 0.500
S1 0.250 0.250 0.250
S2 0.250 0.250 0.750
S3 0.250 0.750 0.250
S4 0.250 0.750 0.750
S5 0.750 0.250 0.250
S6 0.750 0.250 0.750
S7 0.750 0.750 0.250
S8 0.750 0.750 0.750

Most intense lines, 10 to 90 degrees two-theta, by angle:
d [Å]  I/Imax
3.451  13
2.989  20
2.114  100
1.802  6
1.726  5
1.495  15
1.337  7
1.220  31

Copy entry 6 word for word.
Structure and theoretical PXRD pattern of Ba3Zn2Sn7 (a cell relaxed with GGA-PBE; λ = 1.5418 Å (Cu Kα)).

Structural model:
Lattice parameters (Å, degrees): 4.850 4.989 15.217 90.00 99.01 90.00
Positions (direct):
Ba1 0.000 0.000 0.000
Ba2 0.318 0.500 0.635
Ba3 0.682 0.500 0.365
Zn1 0.132 0.000 0.267
Zn2 0.868 0.000 0.733
Sn1 0.084 0.500 0.172
Sn2 0.224 0.000 0.447
Sn3 0.414 0.000 0.828
Sn4 0.500 0.500 0.000
Sn5 0.586 0.000 0.172
Sn6 0.776 0.000 0.553
Sn7 0.916 0.500 0.828

Most intense lines, 10 to 90 degrees two-theta, by angle:
d [Å]  I/Imax
3.010  100
2.702  16
2.494  25
2.425  23
2.381  9
1.739  20
1.522  14
1.490  12

Copy entry 1 word for word.
Structure and theoretical PXRD pattern of SmDy3Te6 (a cell relaxed with GGA-PBE; λ = 1.5418 Å (Cu Kα)).

Structural model:
Lattice parameters (Å, degrees): 8.346 8.346 8.346 55.21 55.21 55.21
Positions (direct):
Sm1 0.000 0.000 0.000
Dy1 0.312 0.312 0.312
Dy2 0.499 0.499 0.499
Dy3 0.813 0.813 0.813
Te1 0.091 0.413 0.712
Te2 0.218 0.907 0.587
Te3 0.413 0.712 0.091
Te4 0.587 0.218 0.907
Te5 0.712 0.091 0.413
Te6 0.907 0.587 0.218

Most intense lines, 10 to 90 degrees two-theta, by angle:
d [Å]  I/Imax
5.659  35
4.151  27
3.391  90
2.605  100
2.233  63
2.008  21
1.695  27
1.350  23